Starting from a DFT-relaxed cell (PBE, the Materials Project), the XRD peak list of Pr3TlC was computed for λ = 1.5418 Å (Cu Kα).
Intensities are scaled so that the largest is 100.

Crystal structure
```
Pr3TlC
1.0
5.872 0.000 0.000
0.000 5.872 0.000
0.000 0.000 5.872
Pr Tl C
3 1 1
Cartesian
0.000 0.000 2.936 Pr
0.000 2.936 0.000 Pr
2.936 0.000 0.000 Pr
0.000 0.000 0.000 Tl
2.936 2.936 2.936 C
```

The 10 most intense peaks (10° ≤ 2θ ≤ 90°), low angle first:
2θ (°)	I/Imax	index
15.09	100	1 0 0
26.29	20	1 1 1
30.45	71	2 0 0
34.14	57	2 1 0
43.60	53	2 2 0
46.39	31	3 0 0
54.11	19	2 2 2
65.55	18	4 1 0
71.91	24	4 2 0
80.06	18	4 2 2


Starting from a DFT-relaxed cell (PBE, the Materials Project), the XRD peak list of SnPt3C was computed for λ = 1.5418 Å (Cu Kα).
Intensities are scaled so that the largest is 100.

Crystal structure
```
SnPt3C
1.0
4.298 0.000 0.000
0.000 4.298 0.000
0.000 0.000 4.298
Sn Pt C
1 3 1
Cartesian
0.000 0.000 0.000 Sn
0.000 2.149 2.149 Pt
2.149 0.000 2.149 Pt
2.149 2.149 0.000 Pt
2.149 2.149 2.149 C
```

The 10 most intense peaks (10° ≤ 2θ ≤ 90°), low angle first:
2θ (°)	I/Imax	index
20.67	4	1 0 0
29.39	2	1 1 0
36.20	100	1 1 1
42.04	53	2 0 0
47.29	2	2 1 0
52.13	1	2 1 1
60.97	36	2 2 0
65.11	1	3 0 0
73.01	41	3 1 1
76.83	12	2 2 2


Starting from a DFT-relaxed cell (PBE, the Materials Project), the XRD peak list of YPt3C was computed for λ = 1.5418 Å (Cu Kα).
Intensities are scaled so that the largest is 100.

Crystal structure
```
YPt3C
1.0
4.324 0.000 0.000
0.000 4.324 0.000
0.000 0.000 4.324
Y Pt C
1 3 1
Cartesian
0.000 0.000 0.000 Y
0.000 2.162 2.162 Pt
2.162 0.000 2.162 Pt
2.162 2.162 0.000 Pt
2.162 2.162 2.162 C
```

The 10 most intense peaks (10° ≤ 2θ ≤ 90°), low angle first:
2θ (°)	I/Imax	index
20.54	9	1 0 0
29.21	5	1 1 0
35.97	100	1 1 1
41.78	53	2 0 0
46.99	4	2 1 0
51.78	2	2 1 1
60.56	35	2 2 0
64.66	2	3 0 0
72.49	40	3 1 1
76.28	12	2 2 2


Starting from a DFT-relaxed cell (PBE, the Materials Project), the XRD peak list of PuRh3C was computed for λ = 1.5418 Å (Cu Kα).
Intensities are scaled so that the largest is 100.

Crystal structure
```
PuRh3C
1.0
4.216 0.000 0.000
0.000 4.216 0.000
0.000 0.000 4.216
Pu Rh C
1 3 1
Cartesian
0.000 0.000 0.000 Pu
0.000 2.108 2.108 Rh
2.108 0.000 2.108 Rh
2.108 2.108 0.000 Rh
2.108 2.108 2.108 C
```

The 10 most intense peaks (10° ≤ 2θ ≤ 90°), low angle first:
2θ (°)	I/Imax	index
21.07	13	1 0 0
29.97	17	1 1 0
36.93	100	1 1 1
42.90	53	2 0 0
48.27	7	2 1 0
53.22	7	2 1 1
62.29	35	2 2 0
74.67	39	3 1 1
78.61	12	2 2 2
86.34	4	3 2 1